# MgTe2Mo3WSe4S2
Simulated XRD peak list, Cu Kα X-rays. Input: a structure optimized by DFT (GGA-PBE).
Peak positions follow from Bragg's law for the DFT cell and can differ from measured ones.

Principal peaks in the range 2θ = 10–90°, in order of rising 2θ:
Position (°2θ), d [Å], intensity
11.63, 7.608, 100
13.97, 6.340, 17
30.96, 2.889, 44
36.37, 2.470, 78
44.03, 2.056, 46
55.03, 1.669, 27

Cell lengths 3.338, 3.338, 38.038 Å; angles 90.00, 90.00, 119.99 degrees
Atoms (fractional coordinates):
Mg1 0.000 0.000 0.000
Te1 0.611 0.344 0.727
Te2 0.611 0.344 0.827
Mo1 0.611 0.344 0.213
Mo2 0.611 0.344 0.589
Mo3 0.945 0.011 0.777
W1 0.945 0.011 0.401
Se1 0.611 0.344 0.357
Se2 0.611 0.344 0.445
Se3 0.945 0.011 0.169
Se4 0.945 0.011 0.257
S1 0.945 0.011 0.549
S2 0.945 0.011 0.629

=====

# MgTe2MoW2Se2S2
Simulated XRD peak list, Cu Kα X-rays. Input: a structure optimized by DFT (GGA-PBE).
Peak positions follow from Bragg's law for the DFT cell and can differ from measured ones.

Principal peaks in the range 2θ = 10–90°, in order of rising 2θ:
Position (°2θ), d [Å], intensity
12.34, 7.173, 78
30.76, 2.906, 100
34.52, 2.598, 58
41.40, 2.181, 59
41.89, 2.157, 61
54.66, 1.679, 52

Cell lengths 3.359, 3.359, 35.874 Å; angles 91.13, 91.13, 59.84 degrees
Atoms (fractional coordinates):
Mg1 0.000 0.000 0.000
Te1 0.000 0.000 0.282
Te2 0.015 0.015 0.388
Mo1 0.999 0.999 0.111
W1 0.675 0.675 0.335
W2 0.675 0.675 0.868
Se1 0.002 0.002 0.821
Se2 0.015 0.015 0.915
S1 0.660 0.660 0.068
S2 0.672 0.672 0.153